Entry 1:
Calculated powder XRD pattern
Compound: Tb2Si6Pt21
Radiation: Cu Kα (λ = 1.5418 Å)
Structure: a structure optimized by DFT (GGA-PBE)
No peak broadening, texture or thermal motion is included.

Structure:
```
data_Tb2Si6Pt21
_chemical_formula_sum 'Tb8 Si24 Pt84'
_cell_length_a 12.318
_cell_length_b 12.318
_cell_length_c 12.318
_cell_angle_alpha 90.00
_cell_angle_beta 90.00
_cell_angle_gamma 90.00
_symmetry_space_group_name_H-M 'F m -3 m'
_symmetry_Int_Tables_number 225
_symmetry_space_group_name_Hall '-F 4 2 3'
loop_
_atom_site_label
_atom_site_fract_x
_atom_site_fract_y
_atom_site_fract_z
Tb1 0.250 0.250 0.250
Si1 0.000 0.000 0.234
Pt1 0.000 0.000 0.500
Pt2 0.000 0.173 0.327
Pt3 0.116 0.116 0.116
```

Principal peaks in the range 10° ≤ 2θ ≤ 90°, sorted by position:
two_theta	I/Imax
32.51	19
35.71	23
37.96	100
41.47	22
43.46	29
44.11	13
64.15	26
65.64	15
75.64	17
77.03	10



Entry 2:
Calculated powder XRD pattern
Compound: SmCdNi
Radiation: Cu Kα (λ = 1.5418 Å)
Structure: a structure optimized by DFT (GGA-PBE)
No peak broadening, texture or thermal motion is included.

Structure:
```
data_SmCdNi
_chemical_formula_sum 'Sm6 Cd6 Ni6'
_cell_length_a 12.824
_cell_length_b 3.937
_cell_length_c 7.562
_cell_angle_alpha 90.00
_cell_angle_beta 90.00
_cell_angle_gamma 90.00
_symmetry_space_group_name_H-M 'P m m a'
_symmetry_Int_Tables_number 51
_symmetry_space_group_name_Hall '-P 2a 2a'
loop_
_atom_site_label
_atom_site_fract_x
_atom_site_fract_y
_atom_site_fract_z
Sm1 0.045 0.000 0.232
Sm2 0.250 0.000 0.851
Cd1 0.123 0.500 0.569
Cd2 0.250 0.500 0.197
Ni1 0.089 0.500 0.942
Ni2 0.250 0.000 0.440
```

Principal peaks in the range 10° ≤ 2θ ≤ 90°, sorted by position:
two_theta	I/Imax
32.84	34
33.12	100
33.60	33
35.78	41
36.13	39
36.32	16
36.75	22
37.01	16
41.59	17
46.11	32